[1]
Computed powder diffraction line list of SmTm2Zn3 for Cu Ka, from the PBE geometry in Alexandria.
Intensities are scaled so that the largest is 100.

Cell and atoms:
```
SmTm2Zn3
1.0
3.5596 0.0000 0.0000
0.0000 3.5596 0.0000
0.0000 0.0000 10.7046
Sm Tm Zn
1 2 3
Cartesian
0.0000 0.0000 0.0000
0.0000 0.0000 3.6044
0.0000 0.0000 7.1002
1.7798 1.7798 1.9160
1.7798 1.7798 5.3523
1.7798 1.7798 8.7887
```

Largest 10 diffraction maxima, in order of rising 2θ, 10° ≤ 2θ ≤ 90°:
2θ/deg	Rel. int.
25.00	19
35.64	100
44.03	6
51.20	6
51.34	12
57.85	6
64.02	35
75.44	7
86.22	5
86.44	10

[2]
Computed powder diffraction line list of Sm2Tm4Zr for Cu Ka, from the PBE geometry in Alexandria.
Intensities are scaled so that the largest is 100.

Cell and atoms:
```
Sm2Tm4Zr
1.0
1.7618 1.0172 19.5344
-1.7618 1.0172 19.5344
0.0000 -2.0344 19.5344
Sm Tm Zr
2 4 1
Cartesian
0.0000 0.0000 0.0000
0.0000 0.0000 5.7633
0.0000 0.0000 16.6643
0.0000 0.0000 22.4495
0.0000 0.0000 47.7824
0.0000 0.0000 52.8994
0.0000 0.0000 11.2686
```

Largest 10 diffraction maxima, in order of rising 2θ, 10° ≤ 2θ ≤ 90°:
2θ/deg	Rel. int.
29.31	31
29.43	19
32.07	50
33.10	96
33.85	100
51.90	44
57.34	16
58.81	18
62.33	45
63.41	18